Hf6ZnCo: calculated powder diffractogram (Cu Kα), based on a GGA-PBE-relaxed structure.
Intensities are scaled so that the largest is 1000.

Peak list (8 most intense, 5° ≤ 2θ ≤ 70°, in order of rising 2θ)
d_spacing  2θ (°)  intensity  h k l
2.869  31.2  987  1 3 -1
2.709  33.1  544  2 0 0
2.676  33.5  552  0 0 2
2.604  34.4  360  0 4 0
2.551  35.2  776  2 0 -2
2.340  38.5  1000  1 3 1
1.734  52.8  458  3 3 -1
1.716  53.4  381  1 3 -3

Structure:
```
data_Hf6ZnCo
_cell_length_a 6.0432
_cell_length_b 10.4115
_cell_length_c 5.9690
_cell_angle_alpha 90.00
_cell_angle_beta 116.29
_cell_angle_gamma 90.00
_space_group_name_H-M_alt 'C 1 2/m 1'
_space_group_IT_number 12
loop_
_space_group_symop_operation_xyz
'x,y,z'
'-x,-y,-z'
'-x,y,-z'
'x,-y,z'
'x+1/2,y+1/2,z'
'-x+1/2,-y+1/2,-z'
'-x+1/2,y+1/2,-z'
'x+1/2,-y+1/2,z'
loop_
_atom_site_label
_atom_site_type_symbol
_atom_site_fract_x
_atom_site_fract_y
_atom_site_fract_z
_atom_site_occupancy
Hf1 Hf 0.2295 0.1998 0.2450 1
Hf2 Hf 0.2371 0.0000 0.7624 1
Zn1 Zn 0.0000 0.5000 0.5000 1
Co1 Co 0.0000 0.0000 0.0000 1
```



DyHg2I6: calculated powder diffractogram (Cu Kα), based on a GGA-PBE-relaxed structure.
Intensities are scaled so that the largest is 1000.

Peak list (8 most intense, 5° ≤ 2θ ≤ 70°, in order of rising 2θ)
d_spacing  2θ (°)  intensity  h k l
7.654  11.6  817  2 0 0
7.477  11.8  649  0 2 0
7.081  12.5  789  1 1 -1
5.872  15.1  1000  1 1 1
3.827  23.2  990  4 0 0
3.518  25.3  623  3 3 -1
3.192  27.9  972  2 0 2
2.219  40.7  845  2 4 -3

Structure:
```
data_DyHg2I6
_cell_length_a 15.9288
_cell_length_b 14.9537
_cell_length_c 8.2950
_cell_angle_alpha 90.00
_cell_angle_beta 106.04
_cell_angle_gamma 90.00
_space_group_name_H-M_alt 'C 1 2/c 1'
_space_group_IT_number 15
loop_
_space_group_symop_operation_xyz
'x,y,z'
'-x,-y,-z'
'-x,y,-z+1/2'
'x,-y,z+1/2'
'x+1/2,y+1/2,z'
'-x+1/2,-y+1/2,-z'
'-x+1/2,y+1/2,-z+1/2'
'x+1/2,-y+1/2,z+1/2'
loop_
_atom_site_label
_atom_site_type_symbol
_atom_site_fract_x
_atom_site_fract_y
_atom_site_fract_z
_atom_site_occupancy
Dy1 Dy 0.0000 0.0686 0.2500 1
Hg1 Hg 0.0952 0.3902 0.1616 1
I1 I 0.1086 0.0701 0.6214 1
I2 I 0.1219 0.4429 0.5168 1
I3 I 0.1272 0.1999 0.1646 1
```



What did the second record say?
DyHg2I6: calculated powder diffractogram (Cu Kα), based on a GGA-PBE-relaxed structure.
Intensities are scaled so that the largest is 1000.

Peak list (8 most intense, 5° ≤ 2θ ≤ 70°, in order of rising 2θ)
d_spacing  2θ (°)  intensity  h k l
7.654  11.6  817  2 0 0
7.477  11.8  649  0 2 0
7.081  12.5  789  1 1 -1
5.872  15.1  1000  1 1 1
3.827  23.2  990  4 0 0
3.518  25.3  623  3 3 -1
3.192  27.9  972  2 0 2
2.219  40.7  845  2 4 -3

Structure:
```
data_DyHg2I6
_cell_length_a 15.9288
_cell_length_b 14.9537
_cell_length_c 8.2950
_cell_angle_alpha 90.00
_cell_angle_beta 106.04
_cell_angle_gamma 90.00
_space_group_name_H-M_alt 'C 1 2/c 1'
_space_group_IT_number 15
loop_
_space_group_symop_operation_xyz
'x,y,z'
'-x,-y,-z'
'-x,y,-z+1/2'
'x,-y,z+1/2'
'x+1/2,y+1/2,z'
'-x+1/2,-y+1/2,-z'
'-x+1/2,y+1/2,-z+1/2'
'x+1/2,-y+1/2,z+1/2'
loop_
_atom_site_label
_atom_site_type_symbol
_atom_site_fract_x
_atom_site_fract_y
_atom_site_fract_z
_atom_site_occupancy
Dy1 Dy 0.0000 0.0686 0.2500 1
Hg1 Hg 0.0952 0.3902 0.1616 1
I1 I 0.1086 0.0701 0.6214 1
I2 I 0.1219 0.4429 0.5168 1
I3 I 0.1272 0.1999 0.1646 1
```